1.
This entry pairs a crystal structure of PmNd2SmTh with its simulated powder diffractogram. Radiation: Cu Ka. Structure: a DFT-relaxed cell (PBE, Alexandria).
Intensities are scaled so that the largest is 100.

The 6 most intense peaks (2θ = 10–90°), sorted by position:
- 2θ 29.7, rel. 56
- 2θ 30.5, rel. 100
- 2θ 31.6, rel. 35
- 2θ 34.8, rel. 23
- 2θ 35.0, rel. 31
- 2θ 35.7, rel. 24

Structure:
```
PmNd2SmTh
1.0
6.4270 0.0000 0.0000
0.0000 8.5022 0.0000
-1.6277 0.0000 6.4833
Pm Nd Sm Th
2 4 2 2
Direct
0.0000 0.1612 0.2500
0.0000 0.8388 0.7500
0.2858 0.1726 0.8439
0.2858 0.8274 0.3439
0.7142 0.1726 0.6561
0.7142 0.8274 0.1561
0.5000 0.4150 0.2500
0.5000 0.5850 0.7500
0.0000 0.5000 0.0000
0.0000 0.5000 0.5000
```



2.
This entry pairs a crystal structure of NbCuSe2 with its simulated powder diffractogram. Radiation: Cu Ka. Structure: a DFT-relaxed cell (PBE, Alexandria).
Intensities are scaled so that the largest is 100.

The 6 most intense peaks (2θ = 10–90°), sorted by position:
- 2θ 12.7, rel. 17
- 2θ 28.9, rel. 66
- 2θ 34.8, rel. 59
- 2θ 43.7, rel. 100
- 2θ 51.1, rel. 52
- 2θ 69.5, rel. 24

Structure:
```
NbCuSe2
1.0
3.5729 0.0000 0.0000
-1.7865 3.0943 0.0000
0.0000 0.0000 13.9325
Nb Cu Se
2 2 4
Direct
0.3333 0.6667 0.0000
0.6667 0.3333 0.5000
0.3333 0.6667 0.2154
0.6667 0.3333 0.7154
0.3333 0.6667 0.3831
0.3333 0.6667 0.6213
0.6667 0.3333 0.1213
0.6667 0.3333 0.8831
```



3.
This entry pairs a crystal structure of CsLiMnCl6 with its simulated powder diffractogram. Radiation: Cu Ka. Structure: a DFT-relaxed cell (PBE, Alexandria).
Intensities are scaled so that the largest is 100.

The 6 most intense peaks (2θ = 10–90°), sorted by position:
- 2θ 15.9, rel. 23
- 2θ 19.6, rel. 100
- 2θ 28.1, rel. 17
- 2θ 30.1, rel. 37
- 2θ 36.3, rel. 48
- 2θ 44.6, rel. 21

Structure:
```
CsLiMnCl6
1.0
6.4317 0.0000 0.0000
-3.2159 5.5700 0.0000
0.0000 0.0000 7.7465
Cs Li Mn Cl
1 1 1 6
Direct
0.0000 0.0000 0.0000
0.3333 0.6667 0.5000
0.6667 0.3333 0.5000
0.3873 0.0326 0.6715
0.3873 0.3548 0.3285
0.6452 0.0326 0.3285
0.6452 0.6127 0.6715
0.9674 0.3548 0.6715
0.9674 0.6127 0.3285
```



4.
This entry pairs a crystal structure of LaAl3Ge3 with its simulated powder diffractogram. Radiation: Cu Ka. Structure: a DFT-relaxed cell (PBE, Alexandria).
Intensities are scaled so that the largest is 100.

The 6 most intense peaks (2θ = 10–90°), sorted by position:
- 2θ 14.6, rel. 18
- 2θ 27.4, rel. 100
- 2θ 35.0, rel. 69
- 2θ 43.0, rel. 58
- 2θ 45.2, rel. 34
- 2θ 56.6, rel. 17

Structure:
```
LaAl3Ge3
1.0
3.6462 2.1051 7.1989
-3.6462 2.1051 7.1989
0.0000 -4.2103 7.1989
La Al Ge
2 6 6
Direct
0.1663 0.1663 0.1663
0.8337 0.8337 0.8337
0.0376 0.7145 0.3756
0.2855 0.6244 0.9624
0.3756 0.0376 0.7145
0.6244 0.9624 0.2855
0.7145 0.3756 0.0376
0.9624 0.2855 0.6244
0.0908 0.4141 0.7381
0.2619 0.9092 0.5859
0.4141 0.7381 0.0908
0.5859 0.2619 0.9092
0.7381 0.0908 0.4141
0.9092 0.5859 0.2619
```



5.
This entry pairs a crystal structure of Li3BrCl2 with its simulated powder diffractogram. Radiation: Cu Ka. Structure: a DFT-relaxed cell (PBE, Alexandria).
Intensities are scaled so that the largest is 100.

The 6 most intense peaks (2θ = 10–90°), sorted by position:
- 2θ 27.3, rel. 100
- 2θ 31.6, rel. 27
- 2θ 31.8, rel. 13
- 2θ 45.4, rel. 34
- 2θ 53.7, rel. 26
- 2θ 53.9, rel. 13

Structure:
```
Li3BrCl2
1.0
0.0000 12.0357 5.6344
4.0029 0.0000 5.6344
4.0029 12.0357 0.0000
Li Br Cl
12 4 8
Direct
0.0047 0.4953 0.0052
0.0602 0.9178 0.1052
0.1448 0.3333 0.1898
0.2448 0.7552 0.2453
0.3333 0.1448 0.3322
0.4030 0.5852 0.4368
0.4953 0.0047 0.4948
0.5852 0.4030 0.5749
0.6751 0.8132 0.6648
0.7552 0.2448 0.7547
0.8132 0.6751 0.8470
0.9178 0.0602 0.9167
0.2055 0.5362 0.4585
0.4502 0.7915 0.7138
0.5362 0.2055 0.7998
0.7915 0.4502 0.0445
0.0355 0.7040 0.2962
0.1192 0.1192 0.3808
0.2857 0.9538 0.5460
0.3698 0.3698 0.6302
0.6198 0.6198 0.8802
0.7040 0.0355 0.9643
0.8692 0.8692 0.1308
0.9538 0.2857 0.2145
```



6.
This entry pairs a crystal structure of Tb4Nd3Sm3 with its simulated powder diffractogram. Radiation: Cu Ka. Structure: a DFT-relaxed cell (PBE, Alexandria).
Intensities are scaled so that the largest is 100.

The 6 most intense peaks (2θ = 10–90°), sorted by position:
- 2θ 29.4, rel. 63
- 2θ 30.4, rel. 31
- 2θ 31.9, rel. 100
- 2θ 33.7, rel. 15
- 2θ 54.7, rel. 19
- 2θ 58.2, rel. 18

Structure:
```
Tb4Nd3Sm3
1.0
3.7179 0.0000 0.0000
0.0000 6.7780 6.7880
0.0000 -6.7780 6.7880
Tb Nd Sm
4 3 3
Direct
0.0000 0.0000 0.0000
0.0000 0.2495 0.2495
0.0000 0.5018 0.7501
0.0000 0.7501 0.5018
0.5000 0.2991 0.9505
0.5000 0.4511 0.4511
0.5000 0.9505 0.2991
0.0000 0.1234 0.6259
0.0000 0.6259 0.1234
0.5000 0.7993 0.7993
```